The following is a theoretical powder X-ray diffraction pattern of Ba3Sn3Hg8. It was derived from a structure optimized by DFT (PBE), using Cu Kα.
No peak broadening, texture or thermal motion is included.

The 12 most intense peaks (2θ = 5–70°), in order of rising 2θ:
2theta	I/Imax	index
17.48	26	2 0 -2
29.70	100	1 1 2
29.88	83	5 1 -2
31.37	36	3 1 -3
33.35	40	1 1 -3
33.82	82	0 2 0
34.44	52	6 0 0
38.97	26	1 1 3
39.25	25	7 1 -3
39.80	32	3 1 -4
49.04	39	6 2 0
57.96	33	11 1 -4

Structural model:
```
data_Ba3Sn3Hg8
_chemical_formula_sum 'Ba6 Sn6 Hg16'
_cell_length_a 18.558
_cell_length_b 5.301
_cell_length_c 10.150
_cell_angle_alpha 90.00
_cell_angle_beta 122.65
_cell_angle_gamma 90.00
_space_group_name_H-M_alt 'C 1 2/m 1'
_space_group_IT_number 12
loop_
_space_group_symop_operation_xyz
'x,y,z'
'-x,-y,-z'
'-x,y,-z'
'x,-y,z'
'x+1/2,y+1/2,z'
'-x+1/2,-y+1/2,-z'
'-x+1/2,y+1/2,-z'
'x+1/2,-y+1/2,z'
loop_
_atom_site_label
_atom_site_type_symbol
_atom_site_fract_x
_atom_site_fract_y
_atom_site_fract_z
Ba1 Ba 0.000 0.000 0.000
Ba2 Ba 0.201 0.500 0.706
Sn1 Sn 0.000 0.000 0.500
Sn2 Sn 0.149 0.500 0.288
Hg1 Hg 0.003 0.500 0.683
Hg2 Hg 0.145 0.000 0.866
Hg3 Hg 0.156 0.000 0.441
Hg4 Hg 0.157 0.500 0.015
```

The following is a theoretical powder X-ray diffraction pattern of Ba3Sn3Hg. It was derived from a structure optimized by DFT (PBE), using Cu Kα.
No peak broadening, texture or thermal motion is included.

The 12 most intense peaks (2θ = 5–70°), in order of rising 2θ:
2theta	I/Imax	index
5.65	35	0 0 1
14.28	19	2 0 -1
26.99	100	1 1 3
27.43	37	3 1 -2
28.61	20	3 1 -3
28.78	21	4 0 -2
30.88	22	3 1 -4
33.56	58	0 2 0
33.66	18	4 0 -5
33.96	80	3 1 2
54.63	18	7 1 -3
59.22	20	1 1 9

Structural model:
```
data_Ba3Sn3Hg
_chemical_formula_sum 'Ba12 Sn12 Hg4'
_cell_length_a 12.406
_cell_length_b 5.341
_cell_length_c 16.808
_cell_angle_alpha 90.00
_cell_angle_beta 111.51
_cell_angle_gamma 90.00
_space_group_name_H-M_alt 'C 1 2/m 1'
_space_group_IT_number 12
loop_
_space_group_symop_operation_xyz
'x,y,z'
'-x,-y,-z'
'-x,y,-z'
'x,-y,z'
'x+1/2,y+1/2,z'
'-x+1/2,-y+1/2,-z'
'-x+1/2,y+1/2,-z'
'x+1/2,-y+1/2,z'
loop_
_atom_site_label
_atom_site_type_symbol
_atom_site_fract_x
_atom_site_fract_y
_atom_site_fract_z
Ba1 Ba 0.045 0.000 0.384
Ba2 Ba 0.099 0.000 0.923
Ba3 Ba 0.245 0.000 0.229
Sn1 Sn 0.038 0.500 0.229
Sn2 Sn 0.110 0.500 0.076
Sn3 Sn 0.131 0.500 0.535
Hg1 Hg 0.249 0.500 0.392
```

The following is a theoretical powder X-ray diffraction pattern of Ba2SnHg7. It was derived from a structure optimized by DFT (PBE), using Cu Kα.
No peak broadening, texture or thermal motion is included.

The 12 most intense peaks (2θ = 5–70°), in order of rising 2θ:
2theta	I/Imax	index
14.01	13	0 0 2
19.45	26	1 0 1
27.94	46	1 0 3
29.42	100	1 1 2
36.73	74	2 0 0
38.57	61	1 1 4
40.14	36	1 0 5
46.77	23	2 1 3
52.92	26	2 2 0
55.53	28	2 1 5
61.71	25	3 1 2
67.37	25	3 1 4

Structural model:
```
data_Ba2SnHg7
_chemical_formula_sum 'Ba2 Sn1 Hg7'
_cell_length_a 4.894
_cell_length_b 4.894
_cell_length_c 12.645
_cell_angle_alpha 90.00
_cell_angle_beta 90.00
_cell_angle_gamma 90.00
_space_group_name_H-M_alt 'P -4 m 2'
_space_group_IT_number 115
loop_
_space_group_symop_operation_xyz
'x,y,z'
'y,-x,-z'
'-x,-y,z'
'-y,x,-z'
'-x,y,z'
'-y,-x,-z'
'x,-y,z'
'y,x,-z'
loop_
_atom_site_label
_atom_site_type_symbol
_atom_site_fract_x
_atom_site_fract_y
_atom_site_fract_z
Ba1 Ba 0.000 0.500 0.249
Sn1 Sn 0.500 0.500 0.000
Hg1 Hg 0.000 0.000 0.000
Hg2 Hg 0.000 0.000 0.500
Hg3 Hg 0.000 0.500 0.638
Hg4 Hg 0.000 0.500 0.865
Hg5 Hg 0.500 0.500 0.500
```

The following is a theoretical powder X-ray diffraction pattern of Ba2Tl6SnHg. It was derived from a structure optimized by DFT (PBE), using Cu Kα.
No peak broadening, texture or thermal motion is included.

The 12 most intense peaks (2θ = 5–70°), in order of rising 2θ:
2theta	I/Imax	index
7.96	43	0 0 1
21.24	31	1 0 2
23.39	85	0 2 2
27.30	56	1 2 2
32.45	95	2 0 2
32.81	100	1 2 3
32.98	77	2 2 0
34.30	85	0 4 0
36.62	67	0 2 4
36.83	88	2 2 2
47.93	64	2 4 2
68.77	31	2 4 6

Structural model:
```
data_Ba2Tl6SnHg
_chemical_formula_sum 'Ba4 Tl12 Sn2 Hg2'
_cell_length_a 6.357
_cell_length_b 10.459
_cell_length_c 11.114
_cell_angle_alpha 90.00
_cell_angle_beta 90.00
_cell_angle_gamma 90.00
_space_group_name_H-M_alt 'P m m n'
_space_group_IT_number 59
loop_
_space_group_symop_operation_xyz
'x,y,z'
'-x,-y,-z'
'-x+1/2,-y+1/2,z'
'x+1/2,y+1/2,-z'
'x+1/2,-y,-z'
'-x+1/2,y,z'
'-x,y+1/2,-z'
'x,-y+1/2,z'
loop_
_atom_site_label
_atom_site_type_symbol
_atom_site_fract_x
_atom_site_fract_y
_atom_site_fract_z
Ba1 Ba 0.250 0.011 0.220
Tl1 Tl 0.000 0.250 0.490
Tl2 Tl 0.002 0.750 0.006
Tl3 Tl 0.250 0.005 0.600
Sn1 Sn 0.250 0.750 0.770
Hg1 Hg 0.250 0.250 0.762
```

The following is a theoretical powder X-ray diffraction pattern of Ba3Tl6SnHg2. It was derived from a structure optimized by DFT (PBE), using Cu Kα.
No peak broadening, texture or thermal motion is included.

The 12 most intense peaks (2θ = 5–70°), in order of rising 2θ:
2theta	I/Imax	index
15.56	20	0 0 2
28.28	73	1 0 3
31.53	76	1 1 2
32.55	100	0 2 1
35.25	15	1 0 4
35.37	21	2 0 2
48.80	30	2 1 3
50.92	17	0 3 2
51.44	27	0 2 5
56.21	28	2 2 0
58.49	15	2 0 6
64.10	14	1 3 3

Structural model:
```
data_Ba3Tl6SnHg2
_chemical_formula_sum 'Ba3 Tl6 Sn1 Hg2'
_cell_length_a 6.5454
_cell_length_b 6.5454
_cell_length_c 11.3977
_cell_angle_alpha 90.00
_cell_angle_beta 90.00
_cell_angle_gamma 120.00
_space_group_name_H-M_alt 'P -3 m 1'
_space_group_IT_number 164
_space_group_name_Hall '-P 3 2"'
loop_
_atom_site_label
_atom_site_type_symbol
_atom_site_fract_x
_atom_site_fract_y
_atom_site_fract_z
Ba1 Ba 0.0000 0.0000 0.0000
Ba2 Ba 0.3333 0.6667 0.5875
Tl1 Tl 0.1698 0.3397 0.2651
Sn1 Sn 0.0000 0.0000 0.5000
Hg1 Hg 0.3333 0.6667 0.9227
```

The following is a theoretical powder X-ray diffraction pattern of Ba2Sr6Hg. It was derived from a structure optimized by DFT (PBE), using Cu Kα.
No peak broadening, texture or thermal motion is included.

The 12 most intense peaks (2θ = 5–70°), in order of rising 2θ:
2theta	I/Imax	index
9.28	45	0 2 0
16.07	29	0 3 1
22.06	29	1 2 0
24.65	30	0 5 1
25.77	77	1 0 2
27.45	100	1 2 2
27.94	33	0 6 0
28.15	66	0 3 3
31.93	82	1 5 1
32.07	26	1 1 3
46.15	32	1 8 2
50.13	27	2 3 3

Structural model:
```
data_Ba2Sr6Hg
_chemical_formula_sum 'Ba4 Sr12 Hg2'
_cell_length_a 4.445
_cell_length_b 19.158
_cell_length_c 10.954
_cell_angle_alpha 90.00
_cell_angle_beta 90.00
_cell_angle_gamma 90.00
_space_group_name_H-M_alt 'A m m 2'
_space_group_IT_number 38
loop_
_space_group_symop_operation_xyz
'x,y,z'
'-x,-y,z'
'-x,y,z'
'x,-y,z'
'x,y+1/2,z+1/2'
'-x,-y+1/2,z+1/2'
'-x,y+1/2,z+1/2'
'x,-y+1/2,z+1/2'
loop_
_atom_site_label
_atom_site_type_symbol
_atom_site_fract_x
_atom_site_fract_y
_atom_site_fract_z
Ba1 Ba 0.000 0.177 0.000
Sr1 Sr 0.000 0.000 0.753
Sr2 Sr 0.000 0.112 0.372
Sr3 Sr 0.500 0.000 0.099
Sr4 Sr 0.500 0.173 0.679
Hg1 Hg 0.500 0.000 0.516
```

The following is a theoretical powder X-ray diffraction pattern of BaSr8Hg6. It was derived from a structure optimized by DFT (PBE), using Cu Kα.
No peak broadening, texture or thermal motion is included.

The 12 most intense peaks (2θ = 5–70°), in order of rising 2θ:
2theta	I/Imax	index
12.99	24	0 0 3
17.89	28	1 1 0
22.17	30	2 -1 3
31.25	99	3 0 0
31.87	100	2 -1 6
33.97	15	3 0 3
45.24	38	2 2 6
55.62	19	3 3 0
56.01	40	5 -1 6
57.16	20	1 1 12
65.19	12	6 0 0
66.60	13	4 -2 12

Structural model:
```
data_BaSr8Hg6
_chemical_formula_sum 'Ba3 Sr24 Hg18'
_cell_length_a 9.9143
_cell_length_b 9.9143
_cell_length_c 20.4472
_cell_angle_alpha 90.00
_cell_angle_beta 90.00
_cell_angle_gamma 120.00
_space_group_name_H-M_alt 'R -3'
_space_group_IT_number 148
_space_group_name_Hall '-R 3'
loop_
_atom_site_label
_atom_site_type_symbol
_atom_site_fract_x
_atom_site_fract_y
_atom_site_fract_z
Ba1 Ba 0.0000 0.0000 0.0000
Sr1 Sr 0.0000 0.0000 0.3333
Sr2 Sr 0.0001 0.3330 0.5567
Hg1 Hg 0.9999 0.3383 0.0566
```

The following is a theoretical powder X-ray diffraction pattern of BaSr2Hg2. It was derived from a structure optimized by DFT (PBE), using Cu Kα.
No peak broadening, texture or thermal motion is included.

The 12 most intense peaks (2θ = 5–70°), in order of rising 2θ:
2theta	I/Imax	index
7.44	66	0 2 0
14.92	25	0 4 0
26.78	32	0 4 1
28.66	86	1 5 0
31.30	100	1 1 1
31.72	72	0 6 1
34.21	19	1 7 0
43.89	17	2 0 0
45.11	15	0 0 2
53.01	32	1 11 1
54.32	29	1 5 2
55.16	30	2 6 1

Structural model:
```
data_BaSr2Hg2
_chemical_formula_sum 'Ba2 Sr4 Hg4'
_cell_length_a 4.126
_cell_length_b 23.753
_cell_length_c 4.019
_cell_angle_alpha 90.00
_cell_angle_beta 90.00
_cell_angle_gamma 90.00
_space_group_name_H-M_alt 'C m m m'
_space_group_IT_number 65
_space_group_name_Hall '-C 2 2'
loop_
_atom_site_label
_atom_site_type_symbol
_atom_site_fract_x
_atom_site_fract_y
_atom_site_fract_z
Ba1 Ba 0.000 0.000 0.000
Sr1 Sr 0.000 0.172 0.000
Hg1 Hg 0.000 0.404 0.500
```